[1]
Diffraction record for Na2CrH2F8. The powder diffraction line list is computed, not measured: it uses a DFT-relaxed cell (GGA+U, the Materials Project) and Cu Kα (weighted mean of Kα1 and Kα2).

```
data_Na2CrH2F8
_symmetry_space_group_name_H-M 'C 1 2/m 1'
_symmetry_Int_Tables_number 12
_cell_length_a 7.434
_cell_length_b 8.054
_cell_length_c 5.486
_cell_angle_alpha 90.00
_cell_angle_beta 114.30
_cell_angle_gamma 90.00
loop_
_symmetry_equiv_pos_as_xyz
'x,y,z'
'-x,-y,-z'
'-x,y,-z'
'x,-y,z'
'x+1/2,y+1/2,z'
'-x+1/2,-y+1/2,-z'
'-x+1/2,y+1/2,-z'
'x+1/2,-y+1/2,z'
loop_
_atom_site_label
_atom_site_fract_x
_atom_site_fract_y
_atom_site_fract_z
_atom_site_occupancy
Na1 0.000 0.238 0.000 1
Cr1 0.000 0.500 0.500 1
H1 0.154 0.000 0.718 1
F1 0.040 0.000 0.765 1
F2 0.144 0.500 0.278 1
F3 0.160 0.338 0.721 1
```

Largest 6 diffraction maxima, by angle, 10° ≤ 2θ ≤ 90°:
2θ (°)	Rel. int.	h k l
17.10	72	1 1 0
20.43	53	1 1 -1
28.45	100	0 2 1
42.93	81	1 3 1
44.12	37	2 2 1
54.52	37	4 2 -1

---

[2]
Diffraction record for CrH18O9F3. The powder diffraction line list is computed, not measured: it uses a DFT-relaxed cell (GGA+U, the Materials Project) and Cu Kα (weighted mean of Kα1 and Kα2).

```
data_CrH18O9F3
_symmetry_space_group_name_H-M 'R 3'
_symmetry_Int_Tables_number 146
_symmetry_space_group_name_Hall 'R 3'
_cell_length_a 10.8782
_cell_length_b 10.8782
_cell_length_c 8.2087
_cell_angle_alpha 90.00
_cell_angle_beta 90.00
_cell_angle_gamma 120.00
loop_
_atom_site_label
_atom_site_fract_x
_atom_site_fract_y
_atom_site_fract_z
_atom_site_occupancy
Cr1 0.0000 0.0000 0.0000 1
H1 0.0001 0.1872 0.5023 1
H2 0.0375 0.1802 0.7508 1
H3 0.0518 0.8440 0.5149 1
H4 0.0731 0.5852 0.7804 1
H5 0.1549 0.4075 0.5458 1
H6 0.1855 0.7044 0.9116 1
O1 0.0107 0.8533 0.1374 1
O2 0.0915 0.2384 0.5654 1
O3 0.1554 0.0092 0.8606 1
F1 0.1832 0.7625 0.0859 1
```

Largest 6 diffraction maxima, by angle, 10° ≤ 2θ ≤ 90°:
2θ (°)	Rel. int.	h k l
14.31	54	1 0 1
16.30	66	1 1 0
21.75	30	0 2 1
23.65	42	0 1 2
27.30	100	2 1 1
33.31	32	1 2 2

---

[3]
Diffraction record for CrSiH12O6F6. The powder diffraction line list is computed, not measured: it uses a DFT-relaxed cell (GGA+U, the Materials Project) and Cu Kα (weighted mean of Kα1 and Kα2).

```
data_CrSiH12O6F6
_symmetry_space_group_name_H-M 'R -3'
_symmetry_Int_Tables_number 148
_symmetry_space_group_name_Hall '-R 3'
_cell_length_a 9.6081
_cell_length_b 9.6081
_cell_length_c 9.6866
_cell_angle_alpha 90.00
_cell_angle_beta 90.00
_cell_angle_gamma 120.00
loop_
_atom_site_label
_atom_site_fract_x
_atom_site_fract_y
_atom_site_fract_z
_atom_site_occupancy
Cr1 0.0000 0.0000 0.0000 1
Si1 0.0000 0.0000 0.5000 1
H1 0.0179 0.1835 0.7718 1
H2 0.0334 0.5582 0.7927 1
O1 0.0145 0.8234 0.1312 1
F1 0.0745 0.9056 0.6022 1
```

Largest 6 diffraction maxima, by angle, 10° ≤ 2θ ≤ 90°:
2θ (°)	Rel. int.	h k l
18.47	100	1 1 0
21.23	52	0 1 2
29.87	13	2 1 1
33.99	59	1 2 2
47.38	14	3 -1 4
54.96	17	1 3 4